Record 1
Computed X-ray diffraction stick pattern
Compound: RbSi4Au4
Radiation: λ = 1.5418 Å (Cu Kα)
Structure: DFT lattice parameters and positions (PBE)
Intensities are scaled so that the largest is 100.

Cell and atoms:
a = 4.6730 Å, b = 9.9156 Å, c = 8.7737 Å
α = 90.00°, β = 90.71°, γ = 90.00°
Space group P2_1/m (No. 11)
Asymmetric unit:
Rb: 0.0014 0.2500 0.2501 (multiplicity 2)
Si: 0.2463 0.1259 0.8486 (multiplicity 4)
Si: 0.2463 0.6259 0.3486 (multiplicity 4)
Au: 0.2539 0.0467 0.5762 (multiplicity 4)
Au: 0.2539 0.5468 0.0762 (multiplicity 4)

Main lines, low angle first (10 to 80 degrees two-theta):
| 2θ (°) | d_spacing | I/Imax | h k l |
| --- | --- | --- | --- |
| 17.9 | 4.958 | 100 | 0 2 0 |
| 27.1 | 3.285 | 51 | 0 2 2 |
| 28.1 | 3.178 | 43 | 1 0 2 |
| 28.9 | 3.093 | 38 | 0 3 1 |
| 33.2 | 2.699 | 54 | 1 2 -2 |
| 34.9 | 2.574 | 41 | 1 3 1 |
| 38.5 | 2.336 | 32 | 2 0 0 |
| 41.2 | 2.191 | 32 | 0 3 3 |
| 42.8 | 2.113 | 39 | 2 2 0 |
| 51.1 | 1.789 | 30 | 1 5 -1 |

***

Record 2
Computed X-ray diffraction stick pattern
Compound: RbSiAu3
Radiation: λ = 1.5418 Å (Cu Kα)
Structure: DFT lattice parameters and positions (PBE)
Intensities are scaled so that the largest is 100.

Cell and atoms:
a = 4.7763 Å, b = 8.8470 Å, c = 6.7940 Å
α = 90.00°, β = 110.54°, γ = 90.00°
Space group P2_1/m (No. 11)
Asymmetric unit:
Rb: 0.0130 0.2500 0.0266 (multiplicity 2)
Si: 0.2840 0.2500 0.5691 (multiplicity 2)
Au: 0.2688 0.7500 0.5370 (multiplicity 2)
Au: 0.3913 0.0268 0.7817 (multiplicity 4)

Main lines, low angle first (10 to 80 degrees two-theta):
| 2θ (°) | d_spacing | I/Imax | h k l |
| --- | --- | --- | --- |
| 19.9 | 4.472 | 59 | 1 0 0 |
| 28.1 | 3.172 | 55 | 1 0 -2 |
| 28.4 | 3.145 | 100 | 1 2 0 |
| 29.9 | 2.986 | 44 | 1 1 -2 |
| 34.7 | 2.583 | 96 | 0 2 2 |
| 36.5 | 2.462 | 35 | 1 3 -1 |
| 37.7 | 2.388 | 50 | 2 0 -1 |
| 40.8 | 2.212 | 31 | 0 4 0 |
| 45.3 | 2.003 | 41 | 1 2 2 |
| 52.2 | 1.753 | 61 | 2 2 -3 |

***

Record 3
Computed X-ray diffraction stick pattern
Compound: RbSnAu3
Radiation: λ = 1.5418 Å (Cu Kα)
Structure: DFT lattice parameters and positions (PBE)
Intensities are scaled so that the largest is 100.

Cell and atoms:
a = 9.3015 Å, b = 6.8076 Å, c = 9.4069 Å
α = 90.00°, β = 109.57°, γ = 90.00°
Space group P2_1/c (No. 14)
Asymmetric unit:
Rb: 0.1262 0.0465 0.2082 (multiplicity 4)
Sn: 0.4261 0.7310 0.1203 (multiplicity 4)
Au: 0.1443 0.5389 0.0834 (multiplicity 4)
Au: 0.3114 0.5060 0.3890 (multiplicity 4)
Au: 0.4142 0.1800 0.5824 (multiplicity 4)

Main lines, low angle first (10 to 80 degrees two-theta):
| 2θ (°) | d_spacing | I/Imax | h k l |
| --- | --- | --- | --- |
| 10.1 | 8.764 | 87 | 1 0 0 |
| 17.4 | 5.083 | 100 | 1 1 -1 |
| 28.1 | 3.173 | 56 | 1 2 0 |
| 30.5 | 2.932 | 54 | 3 0 -2 |
| 31.4 | 2.848 | 78 | 1 1 -3 |
| 33.3 | 2.688 | 41 | 2 2 0 |
| 35.3 | 2.542 | 62 | 2 2 -2 |
| 37.6 | 2.389 | 54 | 1 1 3 |
| 39.3 | 2.293 | 47 | 4 0 -2 |
| 42.8 | 2.114 | 69 | 2 2 2 |

***

Record 4
Computed X-ray diffraction stick pattern
Compound: RbSnAu4
Radiation: λ = 1.5418 Å (Cu Kα)
Structure: DFT lattice parameters and positions (PBE)
Intensities are scaled so that the largest is 100.

Cell and atoms:
a = 13.5725 Å, b = 6.5780 Å, c = 6.9987 Å
α = 90.00°, β = 96.94°, γ = 90.00°
Space group C2/m (No. 12)
Asymmetric unit:
Rb: 0.2226 0.0000 0.3547 (multiplicity 4)
Sn: 0.0520 0.5000 0.2273 (multiplicity 4)
Au: 0.0000 0.2134 0.5000 (multiplicity 4)
Au: 0.0907 0.2130 0.8913 (multiplicity 8)
Au: 0.2345 0.5000 0.1102 (multiplicity 4)

Main lines, low angle first (10 to 80 degrees two-theta):
| 2θ (°) | d_spacing | I/Imax | h k l |
| --- | --- | --- | --- |
| 12.7 | 6.947 | 71 | 0 0 1 |
| 13.1 | 6.737 | 44 | 2 0 0 |
| 17.2 | 5.158 | 49 | 2 0 -1 |
| 28.0 | 3.186 | 50 | 4 0 -1 |
| 30.2 | 2.956 | 99 | 2 2 0 |
| 30.5 | 2.928 | 95 | 1 1 2 |
| 33.6 | 2.670 | 58 | 2 2 1 |
| 39.4 | 2.288 | 100 | 4 2 -1 |
| 41.1 | 2.194 | 79 | 2 2 2 |
| 43.8 | 2.065 | 59 | 6 0 1 |

***

Record 5
Computed X-ray diffraction stick pattern
Compound: RbSn4Au9
Radiation: λ = 1.5418 Å (Cu Kα)
Structure: DFT lattice parameters and positions (PBE)
Intensities are scaled so that the largest is 100.

Cell and atoms:
a = 9.6285 Å, b = 9.6285 Å, c = 13.6041 Å
α = 90.00°, β = 90.00°, γ = 90.00°
Space group I4/mcm (No. 140)
Asymmetric unit:
Rb: 0.0000 0.0000 0.2500 (multiplicity 4)
Sn: 0.1875 0.3125 0.1228 (multiplicity 16)
Au: 0.0000 0.5000 0.0000 (multiplicity 4)
Au: 0.0373 0.2027 0.5000 (multiplicity 16)
Au: 0.1190 0.3810 0.3177 (multiplicity 16)

Main lines, low angle first (10 to 80 degrees two-theta):
| 2θ (°) | d_spacing | I/Imax | h k l |
| --- | --- | --- | --- |
| 13.0 | 6.806 | 36 | 0 0 2 |
| 29.3 | 3.044 | 17 | 2 2 2 |
| 32.2 | 2.779 | 59 | 3 1 2 |
| 39.2 | 2.301 | 100 | 3 2 3 |
| 39.7 | 2.269 | 70 | 0 0 6 |
| 62.1 | 1.494 | 24 | 6 1 3 |
| 65.4 | 1.427 | 10 | 6 3 1 |
| 67.4 | 1.389 | 13 | 4 0 8 |
| 69.0 | 1.361 | 12 | 0 0 10 |
| 74.8 | 1.269 | 17 | 6 3 5 |

***

Record 6
Computed X-ray diffraction stick pattern
Compound: Rb3Sn6Au5
Radiation: λ = 1.5418 Å (Cu Kα)
Structure: DFT lattice parameters and positions (PBE)
Intensities are scaled so that the largest is 100.

Cell and atoms:
a = 4.7922 Å, b = 14.1911 Å, c = 12.2772 Å
α = 90.00°, β = 90.00°, γ = 90.00°
Space group Pmmn (No. 59, origin choice 2)
Asymmetric unit:
Rb: 0.2500 0.1073 0.2393 (multiplicity 4)
Rb: 0.2500 0.7500 0.2675 (multiplicity 2)
Sn: 0.2500 0.0597 0.6028 (multiplicity 4)
Sn: 0.2500 0.2500 0.4743 (multiplicity 2)
Sn: 0.2500 0.2500 0.9522 (multiplicity 2)
Sn: 0.2500 0.5681 0.0228 (multiplicity 4)
Au: 0.2500 0.0748 0.8367 (multiplicity 4)
Au: 0.2500 0.6224 0.5028 (multiplicity 4)
Au: 0.2500 0.7500 0.9448 (multiplicity 2)

Main lines, low angle first (10 to 80 degrees two-theta):
| 2θ (°) | d_spacing | I/Imax | h k l |
| --- | --- | --- | --- |
| 14.4 | 6.139 | 62 | 0 0 2 |
| 24.4 | 3.650 | 29 | 1 1 2 |
| 28.7 | 3.112 | 26 | 1 0 3 |
| 28.8 | 3.095 | 30 | 0 3 3 |
| 30.3 | 2.952 | 100 | 1 3 2 |
| 37.0 | 2.429 | 33 | 1 2 4 |
| 37.5 | 2.396 | 93 | 2 0 0 |
| 38.0 | 2.365 | 31 | 0 6 0 |
| 39.7 | 2.268 | 35 | 1 3 4 |
| 43.1 | 2.097 | 28 | 1 5 3 |

***

Record 7
Computed X-ray diffraction stick pattern
Compound: RbSn4Au6
Radiation: λ = 1.5418 Å (Cu Kα)
Structure: DFT lattice parameters and positions (PBE)
Intensities are scaled so that the largest is 100.

Cell and atoms:
a = 7.8056 Å, b = 7.8056 Å, c = 5.0160 Å
α = 90.00°, β = 90.00°, γ = 120.00°
Space group P-6 (No. 174)
Asymmetric unit:
Rb: 0.0000 0.0000 0.0000 (multiplicity 1)
Sn: 0.3333 0.6667 0.0000 (multiplicity 1)
Sn: 0.3958 0.2712 0.5000 (multiplicity 3)
Au: 0.1319 0.4122 0.5000 (multiplicity 3)
Au: 0.5292 0.0840 0.0000 (multiplicity 3)

Main lines, low angle first (10 to 80 degrees two-theta):
| 2θ (°) | d_spacing | I/Imax | h k l |
| --- | --- | --- | --- |
| 13.1 | 6.760 | 33 | 1 0 0 |
| 29.0 | 3.080 | 20 | 1 1 1 |
| 31.9 | 2.803 | 49 | 2 0 1 |
| 35.1 | 2.555 | 37 | 1 2 0 |
| 35.8 | 2.508 | 41 | 0 0 2 |
| 39.6 | 2.277 | 100 | 1 2 1 |
| 51.0 | 1.790 | 26 | 1 2 2 |
| 63.0 | 1.475 | 13 | 4 1 0 |
| 66.9 | 1.399 | 22 | 1 2 3 |
| 74.6 | 1.271 | 16 | 4 1 2 |

***

Record 8
Computed X-ray diffraction stick pattern
Compound: RbSn12Au7
Radiation: λ = 1.5418 Å (Cu Kα)
Structure: DFT lattice parameters and positions (PBE)
Intensities are scaled so that the largest is 100.

Cell and atoms:
a = 7.8216 Å, b = 8.9589 Å, c = 9.1689 Å
α = 110.38°, β = 101.05°, γ = 113.70°
Space group P-1 (No. 2)
Asymmetric unit:
Rb: 0.0000 0.0000 0.0000 (multiplicity 1)
Sn: 0.0607 0.3055 0.8037 (multiplicity 2)
Sn: 0.1532 0.6978 0.6530 (multiplicity 2)
Sn: 0.1973 0.2271 0.4917 (multiplicity 2)
Sn: 0.2952 0.5493 0.2763 (multiplicity 2)
Sn: 0.4145 0.9647 0.3037 (multiplicity 2)
Sn: 0.4953 0.6585 0.9561 (multiplicity 2)
Au: 0.1208 0.6791 0.9491 (multiplicity 2)
Au: 0.2279 0.0606 0.7067 (multiplicity 2)
Au: 0.4942 0.6533 0.6414 (multiplicity 2)
Au: 0.5000 0.0000 0.0000 (multiplicity 1)

Main lines, low angle first (10 to 80 degrees two-theta):
| 2θ (°) | d_spacing | I/Imax | h k l |
| --- | --- | --- | --- |
| 30.0 | 2.979 | 100 | 0 1 -3 |
| 32.5 | 2.755 | 50 | 2 -3 1 |
| 33.0 | 2.712 | 47 | 2 -3 0 |
| 33.2 | 2.701 | 60 | 2 0 1 |
| 33.8 | 2.652 | 38 | 1 2 0 |
| 33.9 | 2.642 | 40 | 0 0 3 |
| 34.7 | 2.586 | 45 | -3 1 1 |
| 36.7 | 2.448 | 46 | 0 3 -3 |
| 37.3 | 2.409 | 66 | 0 3 0 |
| 41.0 | 2.202 | 45 | 3 0 0 |